# Ba3ErPd2O6
Simulated XRD peak list, CuKα. Input: a crystal structure in Alexandria, relaxed with GGA-PBE.

Atomic structure:
Unit cell a=6.1143 b=6.1143 c=6.8749 alpha=90.00 beta=90.00 gamma=120.00
Space group P-3m1 (No. 164)
One atom of each set of equivalent atoms:
Ba (0.0000, 0.0000, 0.0000) (multiplicity 1)
Ba (0.3333, 0.6667, 0.6391) (multiplicity 2)
Er (0.0000, 0.0000, 0.5000) (multiplicity 1)
Pd (0.3333, 0.6667, 0.1474) (multiplicity 2)
O (0.1662, 0.3325, 0.3093) (multiplicity 6)

The 10 most intense peaks (10° ≤ 2θ ≤ 80°), low angle first:
| hkl | 2θ/deg | I (rel.) |
| --- | --- | --- |
| 1 1 0 | 29.2 | 1000 |
| 0 1 2 | 31.0 | 812 |
| 2 0 2 | 43.1 | 447 |
| 3 0 0 | 51.8 | 203 |
| 1 2 2 | 52.9 | 362 |
| 1 0 4 | 56.3 | 163 |
| 2 2 0 | 60.6 | 166 |
| 0 2 4 | 64.7 | 119 |
| 3 1 2 | 69.6 | 161 |
| 2 1 4 | 72.5 | 154 |